# Y4Tm3Se8
Simulated powder diffraction line list, Cu Ka. Input: the GGA-PBE geometry in Alexandria.

Structure:
```
data_Y4Tm3Se8
_chemical_formula_sum 'Y4 Tm3 Se8'
_cell_length_a 8.0767
_cell_length_b 8.0767
_cell_length_c 8.0745
_cell_angle_alpha 119.97
_cell_angle_beta 119.97
_cell_angle_gamma 90.01
_space_group_name_H-M_alt 'P 1'
_space_group_IT_number 1
loop_
_space_group_symop_operation_xyz
'x,y,z'
loop_
_atom_site_label
_atom_site_type_symbol
_atom_site_fract_x
_atom_site_fract_y
_atom_site_fract_z
Y1 Y 0.0000 0.0000 0.0000
Y2 Y 0.0000 0.5000 0.0000
Y3 Y 0.5000 0.0000 0.0000
Y4 Y 0.5000 0.5000 0.5000
Tm1 Tm 0.0000 0.5000 0.5000
Tm2 Tm 0.5000 0.0000 0.5000
Tm3 Tm 0.5000 0.5000 0.0000
Se1 Se 0.2451 0.7549 0.5000
Se2 Se 0.2470 0.2470 0.5042
Se3 Se 0.2473 0.2473 0.9904
Se4 Se 0.2521 0.7479 0.0000
Se5 Se 0.7479 0.2521 0.0000
Se6 Se 0.7527 0.7527 0.0096
Se7 Se 0.7530 0.7530 0.4958
Se8 Se 0.7549 0.2451 0.5000
```

Top 10 peaks for 10° ≤ 2θ ≤ 80°, in order of rising 2θ:
d = 6.597 Å, intensity 6; d = 5.711 Å, intensity 10; d = 4.039 Å, intensity 9; d = 2.856 Å, intensity 100; d = 2.555 Å, intensity 6; d = 2.332 Å, intensity 4; d = 2.019 Å, intensity 73; d = 1.649 Å, intensity 25; d = 1.428 Å, intensity 12; d = 1.277 Å, intensity 32